ZrFeSe2: simulated powder X-ray diffraction pattern (copper Kα), based on a crystal structure in Alexandria, relaxed with GGA-PBE.
Kinematic intensities with the Lorentz-polarization factor, no thermal factor.

Structure:
a = 5.403 Å, b = 5.403 Å, c = 4.434 Å
α = 94.62°, β = 94.62°, γ = 38.08°
Sites, in units of the cell vectors:
Zr 0.000 0.000 0.000
Fe 0.299 0.299 0.757
Se 0.493 0.493 0.515
Se 0.737 0.737 0.095

Most intense lines, 10° ≤ 2θ ≤ 80°, in order of falling intensity:
2θ = 34.2°, I = 1000; 2θ = 41.1°, I = 631; 2θ = 35.3°, I = 444; 2θ = 51.9°, I = 228; 2θ = 20.1°, I = 196; 2θ = 33.2°, I = 176; 2θ = 64.3°, I = 172; 2θ = 43.2°, I = 169; 2θ = 40.8°, I = 112; 2θ = 27.8°, I = 109